Structure and simulated powder diffraction line list of RbMnRhCl6 (a cell relaxed with PBE; Cu Kα (weighted mean of Kα1 and Kα2)).
Neutral-atom scattering factors, no anomalous dispersion.

Peak list (12 most intense, 10° ≤ 2θ ≤ 80°, low angle first)
2theta, Rel. int., (hkl)
11.97, 46, 0 0 1
19.98, 100, 1 0 1
27.79, 13, 1 1 0
30.35, 29, 2 -1 1
34.46, 16, 2 0 1
37.09, 68, 2 -1 2
44.83, 22, 3 -1 1
49.15, 22, 3 0 0
49.42, 13, 2 0 3
57.54, 14, 1 1 4
61.41, 11, 3 1 1
63.14, 12, 2 2 2

Structure:
Cell lengths 6.421, 6.421, 7.393 Å; angles 90.00, 90.00, 120.00 degrees
Element x y z (fractional)
Rb 0.000 0.000 0.000
Mn 0.333 0.667 0.500
Rh 0.667 0.333 0.500
Cl 0.377 0.020 0.685
Cl 0.377 0.357 0.315
Cl 0.643 0.020 0.315
Cl 0.643 0.623 0.685
Cl 0.980 0.357 0.685
Cl 0.980 0.623 0.315



Structure and simulated powder diffraction line list of Rb2MnTlCl6 (a cell relaxed with PBE; Cu Kα (weighted mean of Kα1 and Kα2)).
Neutral-atom scattering factors, no anomalous dispersion.

Peak list (12 most intense, 10° ≤ 2θ ≤ 80°, low angle first)
2theta, Rel. int., (hkl)
16.57, 45, 1 1 -1
23.22, 34, 0 2 0
23.43, 68, 1 1 1
23.59, 67, 1 1 -3
23.82, 34, 2 0 -2
27.45, 19, 1 2 0
27.78, 33, 1 0 -4
33.49, 100, 0 0 4
40.99, 24, 1 3 -3
41.84, 22, 3 1 -5
47.91, 18, 2 2 2
48.26, 21, 2 2 -6

Structure:
Cell lengths 7.472, 7.660, 13.002 Å; angles 90.00, 124.54, 90.00 degrees
Element x y z (fractional)
Rb 0.234 0.051 0.248
Rb 0.234 0.449 0.748
Rb 0.766 0.551 0.252
Rb 0.766 0.949 0.752
Mn 0.000 0.000 0.500
Mn 0.000 0.500 0.000
Tl 0.500 0.000 0.000
Tl 0.500 0.500 0.500
Cl 0.146 0.240 0.966
Cl 0.146 0.260 0.466
Cl 0.227 0.681 0.967
Cl 0.227 0.819 0.467
Cl 0.284 0.012 0.721
Cl 0.284 0.488 0.221
Cl 0.716 0.512 0.779
Cl 0.716 0.988 0.279
Cl 0.773 0.181 0.533
Cl 0.773 0.319 0.033
Cl 0.854 0.740 0.534
Cl 0.854 0.760 0.034



Structure and simulated powder diffraction line list of RbMn2TlCl8 (a cell relaxed with PBE; Cu Kα (weighted mean of Kα1 and Kα2)).
Neutral-atom scattering factors, no anomalous dispersion.

Peak list (12 most intense, 10° ≤ 2θ ≤ 80°, low angle first)
2theta, Rel. int., (hkl)
14.82, 55, 1 0 0
17.32, 89, 0 1 1
23.30, 100, 1 0 2
25.81, 57, 1 1 0
27.36, 24, 1 1 1
31.57, 63, 2 -1 2
35.04, 39, 0 2 2
36.20, 18, 0 0 4
44.03, 38, 2 1 2
45.00, 35, 1 1 4
45.52, 39, 3 0 0
59.49, 23, 0 3 4

Structure:
Cell lengths 6.903, 6.903, 9.925 Å; angles 90.00, 90.00, 120.00 degrees
Element x y z (fractional)
Rb 0.000 0.000 0.000
Mn 0.333 0.667 0.771
Mn 0.667 0.333 0.229
Tl 0.000 0.000 0.500
Cl 0.032 0.346 0.708
Cl 0.314 0.968 0.708
Cl 0.333 0.667 0.993
Cl 0.346 0.314 0.292
Cl 0.654 0.686 0.708
Cl 0.667 0.333 0.007
Cl 0.686 0.032 0.292
Cl 0.968 0.654 0.292



Q: Which formula does entry 2 have?
A: Rb2MnTlCl6